Theoretical powder X-ray diffraction pattern of Pm12Sm5Mg2 for Cu Kα (weighted mean of Kα1 and Kα2), from a DFT-relaxed cell (GGA-PBE, Alexandria).
Lines closer than 0.1° are merged.

Largest 10 diffraction maxima, in order of falling intensity, 2θ = 15–90°:
2θ (°)	I_rel
31.13	100
31.41	74
32.81	50
28.25	38
29.68	37
30.07	33
35.49	25
58.38	21
59.43	19
51.20	15

Cell: 15.846 9.273 8.641 Å, 90.00 92.92 90.00°
Space group C2/m (No. 12)
Unique sites:
Pm1 0.058 0.000 0.339 (multiplicity 4)
Pm2 0.077 0.500 0.881 (multiplicity 4)
Pm3 0.128 0.194 0.684 (multiplicity 8)
Pm4 0.146 0.316 0.238 (multiplicity 8)
Sm1 0.000 0.500 0.500 (multiplicity 2)
Sm2 0.205 0.000 0.028 (multiplicity 4)
Sm3 0.232 0.500 0.570 (multiplicity 4)
Mg1 0.000 0.164 0.000 (multiplicity 4)